# 1
Computed powder diffraction line list of Li2VO2F for Cu Kα (weighted mean of Kα1 and Kα2), from DFT lattice parameters and positions (PBE+U).
Neutral-atom scattering factors, no anomalous dispersion.

Top 8 peaks for 10 to 90 degrees two-theta, by angle:
(hkl), d_spacing, I_rel
0 0 1, 7.198, 62.2
1 0 -1, 4.191, 26.9
1 0 1, 4.133, 46.5
0 1 0, 2.986, 27.3
1 0 -2, 2.961, 26.7
1 1 -2, 2.103, 100.0
2 0 2, 2.066, 41.6
1 1 4, 1.470, 23.6

Crystal structure
a = 5.1007 Å, b = 2.9864 Å, c = 7.1991 Å
α = 90.00°, β = 90.85°, γ = 90.00°
Space group P2/m (No. 10)
Symmetry-distinct sites (fractional):
Li  0.0000  0.0000  0.0000 x1
Li  0.1672  0.5000  0.3208 x2
Li  0.5000  0.5000  0.0000 x1
V  0.2996  0.0000  0.6589 x2
O  0.0000  0.0000  0.5000 x1
O  0.1780  0.5000  0.8232 x2
O  0.5000  0.5000  0.5000 x1
F  0.3469  0.0000  0.1717 x2

=====

# 2
Computed powder diffraction line list of LiV3O5F for Cu Kα (weighted mean of Kα1 and Kα2), from DFT lattice parameters and positions (PBE+U).
Neutral-atom scattering factors, no anomalous dispersion.

Top 8 peaks for 10 to 90 degrees two-theta, by angle:
(hkl), d_spacing, I_rel
0 1 0, 4.465, 98.0
1 0 -1, 4.395, 31.9
1 -1 0, 4.251, 100.0
0 1 -1, 4.162, 34.2
1 1 -1, 2.977, 49.4
-1 1 2, 2.126, 47.4
-1 2 1, 2.082, 33.5
1 2 -2, 1.871, 32.6

Crystal structure
a = 5.2157 Å, b = 5.2157 Å, c = 5.4433 Å
α = 102.80°, β = 112.27°, γ = 110.38°
Space group P1 (No. 1)
Symmetry-distinct sites (fractional):
Li  0.0000  0.0000  0.0000 x1
V  0.3302  0.6510  0.2462 x1
V  0.6277  0.3321  0.0499 x1
V  0.8656  0.3360  0.5829 x1
O  0.0456  0.3538  0.3172 x1
O  0.2237  0.3251  0.8810 x1
O  0.4782  0.0247  0.1872 x1
O  0.7137  0.6074  0.3990 x1
O  0.8675  0.5792  0.9365 x1
F  0.5676  0.0032  0.6868 x1

=====

# 3
Computed powder diffraction line list of Li3V4O11F for Cu Kα (weighted mean of Kα1 and Kα2), from DFT lattice parameters and positions (PBE+U).
Neutral-atom scattering factors, no anomalous dispersion.

Top 8 peaks for 10 to 90 degrees two-theta, by angle:
(hkl), d_spacing, I_rel
0 1 -1, 4.306, 91.0
1 0 -1, 4.258, 100.0
0 1 1, 4.083, 53.5
1 -1 2, 3.036, 41.4
-1 1 2, 2.995, 39.7
1 1 2, 2.355, 43.5
1 -2 3, 1.943, 31.3
-2 1 3, 1.913, 31.9

Crystal structure
a = 5.0027 Å, b = 5.0335 Å, c = 8.9457 Å
α = 93.00°, β = 91.68°, γ = 109.26°
Space group P1 (No. 1)
Symmetry-distinct sites (fractional):
Li  0.0000  0.0000  0.0000 x1
Li  0.1956  0.3386  0.7479 x1
Li  0.6866  0.8338  0.2729 x1
V  0.0820  0.4725  0.2496 x1
V  0.1336  0.9526  0.5071 x1
V  0.5452  0.9173  0.7517 x1
V  0.6552  0.3555  0.0022 x1
O  0.0496  0.1636  0.3701 x1
O  0.2514  0.6884  0.6487 x1
O  0.3134  0.7695  0.3566 x1
O  0.3183  0.4168  0.1290 x1
O  0.3493  0.0964  0.8881 x1
O  0.4254  0.1905  0.5971 x1
O  0.6018  0.6887  0.8750 x1
O  0.7258  0.1532  0.1411 x1
O  0.8581  0.9597  0.6326 x1
O  0.8675  0.2843  0.8675 x1
O  0.9110  0.6660  0.1174 x1
F  0.8140  0.5846  0.3999 x1

=====

# 4
Computed powder diffraction line list of LiVOF3 for Cu Kα (weighted mean of Kα1 and Kα2), from DFT lattice parameters and positions (PBE+U).
Neutral-atom scattering factors, no anomalous dispersion.

Top 8 peaks for 10 to 90 degrees two-theta, by angle:
(hkl), d_spacing, I_rel
2 0 0, 6.206, 100.0
2 0 -1, 4.408, 70.5
1 1 -1, 3.336, 60.9
1 1 1, 2.944, 38.4
3 1 1, 2.278, 39.2
5 1 -1, 2.266, 36.0
5 1 -2, 1.876, 31.7
2 2 -2, 1.668, 32.2

Crystal structure
a = 13.2480 Å, b = 4.7180 Å, c = 4.7173 Å
α = 90.00°, β = 110.45°, γ = 90.00°
Space group C2 (No. 5)
Symmetry-distinct sites (fractional):
Li  0.0000  0.0000  0.0000 x2
Li  0.0000  0.4964  0.5000 x2
V  0.1923  0.5258  0.2177 x4
O  0.2002  0.7799  0.4784 x4
F  0.0800  0.2942  0.2824 x4
F  0.0802  0.7007  0.8732 x4
F  0.1987  0.2186  0.9229 x4

=====

# 5
Computed powder diffraction line list of Li2VO2F2 for Cu Kα (weighted mean of Kα1 and Kα2), from DFT lattice parameters and positions (PBE+U).
Neutral-atom scattering factors, no anomalous dispersion.

Top 8 peaks for 10 to 90 degrees two-theta, by angle:
(hkl), d_spacing, I_rel
0 2 0, 5.595, 20.2
1 1 0, 4.628, 100.0
0 2 1, 3.806, 20.4
1 3 -1, 2.614, 14.2
1 3 1, 2.592, 16.1
1 4 -1, 2.223, 13.4
2 4 -1, 1.776, 16.3
0 4 3, 1.472, 15.4

Crystal structure
a = 5.0833 Å, b = 11.1902 Å, c = 5.1931 Å
α = 90.00°, β = 90.98°, γ = 90.00°
Space group Pc (No. 7)
Symmetry-distinct sites (fractional):
Li  0.0000  0.1312  0.0000 x2
Li  0.4820  0.2145  0.0668 x2
Li  0.4843  0.3623  0.5084 x2
Li  0.9827  0.2873  0.5592 x2
V  0.4714  0.0520  0.5628 x2
V  0.9907  0.4259  0.1039 x2
O  0.2206  0.3235  0.2204 x2
O  0.2650  0.0549  0.2328 x2
O  0.6819  0.0510  0.8858 x2
O  0.8053  0.4488  0.4080 x2
F  0.2084  0.4323  0.7403 x2
F  0.2480  0.1864  0.7304 x2
F  0.6684  0.1993  0.4295 x2
F  0.7797  0.3004  0.9242 x2

=====

# 6
Computed powder diffraction line list of Li4V4O3F9 for Cu Kα (weighted mean of Kα1 and Kα2), from DFT lattice parameters and positions (PBE+U).
Neutral-atom scattering factors, no anomalous dispersion.

Top 8 peaks for 10 to 90 degrees two-theta, by angle:
(hkl), d_spacing, I_rel
0 1 1, 4.969, 100.0
0 1 -1, 4.133, 13.1
1 1 -1, 3.824, 37.5
1 0 -2, 3.444, 39.5
1 0 2, 3.316, 29.6
1 1 3, 2.876, 32.0
1 -1 1, 2.654, 18.9
1 2 4, 2.077, 14.7

Crystal structure
a = 5.0894 Å, b = 5.6865 Å, c = 10.1562 Å
α = 76.70°, β = 86.47°, γ = 65.59°
Space group P1 (No. 1)
Symmetry-distinct sites (fractional):
Li  0.0000  0.0000  0.0000 x1
Li  0.0236  0.5251  0.4746 x1
Li  0.3088  0.2731  0.8904 x1
Li  0.4171  0.7484  0.3657 x1
V  0.1359  0.8730  0.6931 x1
V  0.1624  0.4184  0.1824 x1
V  0.5643  0.7046  0.9285 x1
V  0.7199  0.1925  0.3778 x1
O  0.2384  0.0159  0.8177 x1
O  0.3225  0.6290  0.0607 x1
O  0.3417  0.4197  0.3527 x1
F  0.0989  0.0625  0.2750 x1
F  0.2437  0.6990  0.5426 x1
F  0.4517  0.5177  0.8025 x1
F  0.6419  0.9769  0.0021 x1
F  0.6861  0.8580  0.4532 x1
F  0.7871  0.5333  0.2925 x1
F  0.8403  0.7613  0.7713 x1
F  0.9130  0.2093  0.5481 x1
F  0.9603  0.3719  0.0103 x1

=====

# 7
Computed powder diffraction line list of LiV4OF11 for Cu Kα (weighted mean of Kα1 and Kα2), from DFT lattice parameters and positions (PBE+U).
Neutral-atom scattering factors, no anomalous dispersion.

Top 8 peaks for 10 to 90 degrees two-theta, by angle:
(hkl), d_spacing, I_rel
0 0 2, 3.790, 100.0
1 1 0, 3.743, 49.9
1 -1 2, 2.760, 10.9
1 0 -3, 2.274, 13.3
-1 2 1, 2.268, 14.6
2 1 -1, 2.251, 13.0
1 -1 4, 1.736, 15.6
-3 1 2, 1.502, 12.5

Crystal structure
a = 5.1810 Å, b = 5.4957 Å, c = 7.6216 Å
α = 94.88°, β = 90.06°, γ = 90.61°
Space group P1 (No. 1)
Symmetry-distinct sites (fractional):
Li  0.0000  0.0000  0.0000 x1
V  0.0023  0.4166  0.3126 x1
V  0.0087  0.4407  0.8090 x1
V  0.4836  0.9017  0.8055 x1
V  0.5030  0.9119  0.3088 x1
O  0.1881  0.7291  0.8670 x1
F  0.1167  0.4032  0.5530 x1
F  0.1858  0.0967  0.2352 x1
F  0.2912  0.2101  0.8740 x1
F  0.3124  0.6030  0.2511 x1
F  0.3829  0.9170  0.5487 x1
F  0.6345  0.9093  0.0627 x1
F  0.6888  0.6095  0.7419 x1
F  0.6896  0.2247  0.3625 x1
F  0.8047  0.1124  0.7765 x1
F  0.8171  0.7283  0.3656 x1
F  0.8901  0.4026  0.0649 x1

=====

# 8
Computed powder diffraction line list of LiV2O5F for Cu Kα (weighted mean of Kα1 and Kα2), from DFT lattice parameters and positions (PBE+U).
Neutral-atom scattering factors, no anomalous dispersion.

Top 8 peaks for 10 to 90 degrees two-theta, by angle:
(hkl), d_spacing, I_rel
0 2 0, 6.957, 65.2
0 3 1, 3.581, 100.0
0 4 0, 3.478, 21.6
1 3 1, 2.897, 93.7
2 3 0, 2.182, 19.6
1 3 2, 2.160, 35.2
2 6 0, 1.691, 20.9
1 6 2, 1.681, 36.8

Crystal structure
a = 4.9447 Å, b = 13.9134 Å, c = 5.6142 Å
α = 90.00°, β = 90.00°, γ = 90.00°
Space group P2_12_12 (No. 18)
Symmetry-distinct sites (fractional):
Li  0.0000  0.0000  0.0738 x2
Li  0.0000  0.5000  0.6009 x2
V  0.0167  0.3283  0.1076 x4
V  0.0172  0.8439  0.5652 x4
O  0.1347  0.2573  0.3784 x4
O  0.1412  0.2490  0.8936 x4
O  0.1517  0.9158  0.3644 x4
O  0.2036  0.9014  0.8438 x4
O  0.2105  0.6022  0.3633 x4
F  0.1572  0.5853  0.8998 x4

=====

What did the seventh record say?
Computed powder diffraction line list of LiV4OF11 for Cu Kα (weighted mean of Kα1 and Kα2), from DFT lattice parameters and positions (PBE+U).
Neutral-atom scattering factors, no anomalous dispersion.

Top 8 peaks for 10 to 90 degrees two-theta, by angle:
(hkl), d_spacing, I_rel
0 0 2, 3.790, 100.0
1 1 0, 3.743, 49.9
1 -1 2, 2.760, 10.9
1 0 -3, 2.274, 13.3
-1 2 1, 2.268, 14.6
2 1 -1, 2.251, 13.0
1 -1 4, 1.736, 15.6
-3 1 2, 1.502, 12.5

Crystal structure
a = 5.1810 Å, b = 5.4957 Å, c = 7.6216 Å
α = 94.88°, β = 90.06°, γ = 90.61°
Space group P1 (No. 1)
Symmetry-distinct sites (fractional):
Li  0.0000  0.0000  0.0000 x1
V  0.0023  0.4166  0.3126 x1
V  0.0087  0.4407  0.8090 x1
V  0.4836  0.9017  0.8055 x1
V  0.5030  0.9119  0.3088 x1
O  0.1881  0.7291  0.8670 x1
F  0.1167  0.4032  0.5530 x1
F  0.1858  0.0967  0.2352 x1
F  0.2912  0.2101  0.8740 x1
F  0.3124  0.6030  0.2511 x1
F  0.3829  0.9170  0.5487 x1
F  0.6345  0.9093  0.0627 x1
F  0.6888  0.6095  0.7419 x1
F  0.6896  0.2247  0.3625 x1
F  0.8047  0.1124  0.7765 x1
F  0.8171  0.7283  0.3656 x1
F  0.8901  0.4026  0.0649 x1